For Li2V5P4O16, a GGA+U-relaxed structure gives the simulated powder XRD pattern in this record (Cu Kα X-rays).
No peak broadening, texture or thermal motion is included.

Atomic structure:
Cell lengths 5.2728, 8.2650, 8.4348 Å; angles 112.74, 90.04, 101.95 degrees
Space group P-1 (No. 2)
Inequivalent atoms, fractional coordinates:
Li 0.1538 0.1272 0.3218 (multiplicity 2)
V 0.1665 0.4200 0.6985 (multiplicity 2)
V 0.3924 0.7591 0.2295 (multiplicity 2)
V 0.5000 0.0000 0.0000 (multiplicity 1)
P 0.1110 0.2925 0.0337 (multiplicity 2)
P 0.3404 0.7816 0.5692 (multiplicity 2)
O 0.1351 0.8127 0.4545 (multiplicity 2)
O 0.1527 0.4910 0.1672 (multiplicity 2)
O 0.1877 0.7837 0.0199 (multiplicity 2)
O 0.2175 0.6347 0.6272 (multiplicity 2)
O 0.2256 0.1779 0.1096 (multiplicity 2)
O 0.2487 0.2942 0.8702 (multiplicity 2)
O 0.4243 0.2586 0.5413 (multiplicity 2)
O 0.4472 0.9613 0.7280 (multiplicity 2)

Main lines, in order of falling intensity (5 to 70 degrees two-theta):
h k l  2θ/deg  I (rel.)
1 -1 0  18.66  100
1 1 1  28.60  78
1 -2 3  36.81  72
2 -1 0  34.27  68
0 2 0  23.96  56
-1 2 1  31.84  52
0 1 1  19.55  51
1 0 -2  27.57  48
2 0 -3  47.61  30
1 2 -1  30.80  29